# KCdC3N3O3
Computed powder diffraction line list, Cu Kα (λ = 1.5418 Å). Input: the PBE geometry in the Materials Project.

Structure:
```
data_KCdC3N3O3
_symmetry_space_group_name_H-M 'P n m a'
_symmetry_Int_Tables_number 62
_cell_length_a 10.224
_cell_length_b 3.773
_cell_length_c 18.555
_cell_angle_alpha 90.00
_cell_angle_beta 90.00
_cell_angle_gamma 90.00
loop_
_symmetry_equiv_pos_as_xyz
'x,y,z'
'-x,-y,-z'
'-x+1/2,-y,z+1/2'
'x+1/2,y,-z+1/2'
'x+1/2,-y+1/2,-z+1/2'
'-x+1/2,y+1/2,z+1/2'
'-x,y+1/2,-z'
'x,-y+1/2,z'
loop_
_atom_site_label
_atom_site_type_symbol
_atom_site_fract_x
_atom_site_fract_y
_atom_site_fract_z
_atom_site_occupancy
K1 K 0.072 0.250 0.165 1
Cd1 Cd 0.138 0.250 0.544 1
C1 C 0.084 0.250 0.376 1
C2 C 0.139 0.250 0.970 1
C3 C 0.148 0.250 0.712 1
N1 N 0.023 0.250 0.433 1
N2 N 0.214 0.250 0.658 1
N3 N 0.234 0.250 0.009 1
O1 O 0.044 0.250 0.932 1
O2 O 0.083 0.250 0.766 1
O3 O 0.143 0.250 0.321 1
```

Top 8 peaks for 2θ from 15° to 90°, in order of falling intensity:
index, Position (°2θ), I_rel
2 1 0, 29.42, 100
2 0 5, 29.75, 62
0 1 5, 33.88, 42
1 1 1, 25.62, 25
1 0 3, 16.75, 24
3 0 1, 26.59, 23
4 1 5, 49.59, 20
3 1 4, 40.63, 19